Mg4AlCd2: simulated powder diffractogram (Cu Kα (λ = 1.5418 Å)), based on a DFT-relaxed cell (GGA-PBE, Alexandria).

Most intense lines, 2θ from 5° to 70°, low angle first:
| (hkl) | two_theta | I/Imax |
| --- | --- | --- |
| 1 1 1 | 11.17 | 20 |
| 2 2 2 | 22.44 | 65 |
| 4 0 0 | 25.97 | 46 |
| 3 3 3 | 33.94 | 57 |
| 4 4 0 | 37.06 | 100 |
| 7 3 1 | 51.12 | 29 |

Unit cell a=13.724 b=13.724 c=13.724 alpha=90.00 beta=90.00 gamma=90.00
Space group Fd-3m (No. 227, origin choice 2)
Asymmetric unit:
Mg (0.000, 0.000, 0.000) x16
Mg (0.106, 0.375, 0.875) x48
Al (0.000, 0.000, 0.500) x16
Cd (0.022, 0.022, 0.228) x32